The following is a calculated X-ray diffraction stick pattern of CaCeIrO6. It was derived from a crystal structure in Alexandria, relaxed with PBE, using Cu Kα (λ = 1.5418 Å).
Kinematic intensities with the Lorentz-polarization factor, no thermal factor.

Top 10 peaks for 2θ = 10–90°, low angle first:
- (0 0 2), 18.3 deg, d 4.850, rel. 100.0
- (1 0 2), 26.0 deg, d 3.427, rel. 80.2
- (1 1 0), 32.1 deg, d 2.791, rel. 56.0
- (1 1 2), 37.2 deg, d 2.420, rel. 64.7
- (2 0 2), 41.7 deg, d 2.164, rel. 21.6
- (1 1 4), 49.8 deg, d 1.832, rel. 52.3
- (2 1 2), 53.6 deg, d 1.710, rel. 21.0
- (3 0 0), 57.2 deg, d 1.611, rel. 19.5
- (3 0 2), 60.5 deg, d 1.529, rel. 15.8
- (4 -2 2), 70.1 deg, d 1.342, rel. 20.5

Crystal structure
```
data_CaCeIrO6
_chemical_formula_sum 'Ca2 Ce2 Ir2 O12'
_symmetry_space_group_name_H-M 'P -3 1 c'
_symmetry_Int_Tables_number 163
_symmetry_space_group_name_Hall '-P 3 2c'
_cell_length_a 5.5811
_cell_length_b 5.5811
_cell_length_c 9.7179
_cell_angle_alpha 90.00
_cell_angle_beta 90.00
_cell_angle_gamma 120.00
loop_
_atom_site_label
_atom_site_type_symbol
_atom_site_fract_x
_atom_site_fract_y
_atom_site_fract_z
_atom_site_occupancy
Ca1 Ca 0.0000 0.0000 0.0000 1
Ce1 Ce 0.3333 0.6667 0.2500 1
Ir1 Ir 0.3333 0.6667 0.7500 1
O1 O 0.0400 0.3766 0.6384 1
```